Starting from a crystal structure in Alexandria, relaxed with GGA-PBE, the powder XRD pattern of TbPrThMg was computed for Cu Kα (weighted mean of Kα1 and Kα2).
Peak positions follow from Bragg's law for the DFT cell and can differ from measured ones.

Structure:
Cell lengths 3.631, 3.631, 9.357 Å; angles 90.00, 90.00, 90.00 degrees
Sites, in units of the cell vectors:
Tb: 0.000 0.000 0.000
Pr: 0.000 0.000 0.518
Th: 0.500 0.500 0.254
Mg: 0.500 0.500 0.768

The 6 most intense peaks (2θ from 10° to 90°), sorted by position:
hkl 1 0 1, 26.33 deg, I = 23
hkl 1 0 2, 31.18 deg, I = 100
hkl 1 1 0, 34.94 deg, I = 37
hkl 1 1 4, 52.95 deg, I = 22
hkl 2 1 2, 60.33 deg, I = 31
hkl 2 0 4, 65.06 deg, I = 24